Record 1
The following is a simulated PXRD pattern of HoSnRh2. It was derived from a GGA-PBE-relaxed structure, using CuKα.
No peak broadening, texture or thermal motion is included.

Crystal structure
abc: 4.701 4.701 4.701
angles: 60.00 60.00 60.00
Atoms (fractional coordinates):
Ho 0.000 0.000 0.000
Sn 0.500 0.500 0.500
Rh 0.250 0.250 0.250
Rh 0.750 0.750 0.750

Most intense lines, 2θ = 10–80°, by angle:
two_theta, d_spacing, I (rel.)
23.17, 3.838, 1.7
26.82, 3.324, 2.5
38.29, 2.350, 100.0
45.24, 2.004, 0.8
47.37, 1.919, 0.9
55.27, 1.662, 17.3
62.48, 1.487, 1.2
69.24, 1.357, 35.1

=====

Record 2
The following is a simulated PXRD pattern of HoSnRh. It was derived from a GGA-PBE-relaxed structure, using CuKα.
No peak broadening, texture or thermal motion is included.

Crystal structure
abc: 7.618 7.618 3.779
angles: 90.00 90.00 120.00
Atoms (fractional coordinates):
Ho 0.000 0.405 0.000
Ho 0.405 0.000 0.000
Ho 0.595 0.595 0.000
Sn 0.000 0.736 0.500
Sn 0.264 0.264 0.500
Sn 0.736 0.000 0.500
Rh 0.000 0.000 0.000
Rh 0.333 0.667 0.500
Rh 0.667 0.333 0.500

Most intense lines, 2θ = 10–80°, by angle:
two_theta, d_spacing, I (rel.)
33.40, 2.683, 100.0
36.02, 2.493, 44.1
36.15, 2.485, 78.0
41.04, 2.199, 39.8
48.16, 1.889, 21.2
61.59, 1.506, 19.1
65.09, 1.433, 20.4
66.56, 1.405, 31.3

=====

Record 3
The following is a simulated PXRD pattern of TbHoRh2. It was derived from a GGA-PBE-relaxed structure, using CuKα.
No peak broadening, texture or thermal motion is included.

Crystal structure
abc: 4.851 4.851 4.851
angles: 60.00 60.00 60.00
Atoms (fractional coordinates):
Tb 0.000 0.000 0.000
Ho 0.500 0.500 0.500
Rh 0.250 0.250 0.250
Rh 0.750 0.750 0.750

Most intense lines, 2θ = 10–80°, by angle:
two_theta, d_spacing, I (rel.)
25.98, 3.430, 5.0
37.07, 2.425, 100.0
45.82, 1.980, 1.6
53.42, 1.715, 17.4
60.34, 1.534, 2.2
66.81, 1.400, 35.3
78.94, 1.213, 11.0

=====

Record 4
The following is a simulated PXRD pattern of HoTmRh2. It was derived from a GGA-PBE-relaxed structure, using CuKα.
No peak broadening, texture or thermal motion is included.

Crystal structure
abc: 4.806 4.806 4.806
angles: 60.00 60.00 60.00
Atoms (fractional coordinates):
Ho 0.000 0.000 0.000
Tm 0.500 0.500 0.500
Rh 0.250 0.250 0.250
Rh 0.750 0.750 0.750

Most intense lines, 2θ = 10–80°, by angle:
two_theta, d_spacing, I (rel.)
26.22, 3.398, 5.9
37.43, 2.403, 100.0
46.27, 1.962, 1.8
53.97, 1.699, 17.4
60.97, 1.520, 2.5
67.52, 1.387, 35.2
79.83, 1.201, 11.0

=====

Record 5
The following is a simulated PXRD pattern of HoZnRh. It was derived from a GGA-PBE-relaxed structure, using CuKα.
No peak broadening, texture or thermal motion is included.

Crystal structure
abc: 6.919 4.036 8.124
angles: 90.00 90.00 90.00
Atoms (fractional coordinates):
Ho 0.039 0.250 0.184
Ho 0.461 0.750 0.684
Ho 0.539 0.250 0.316
Ho 0.961 0.750 0.816
Zn 0.137 0.250 0.563
Zn 0.363 0.750 0.063
Zn 0.637 0.250 0.937
Zn 0.863 0.750 0.437
Rh 0.246 0.750 0.376
Rh 0.254 0.250 0.876
Rh 0.746 0.750 0.124
Rh 0.754 0.250 0.624

Most intense lines, 2θ = 10–80°, by angle:
two_theta, d_spacing, I (rel.)
33.88, 2.646, 62.9
34.10, 2.629, 41.1
35.60, 2.522, 31.9
35.93, 2.499, 100.0
40.10, 2.249, 31.6
42.26, 2.139, 24.8
44.91, 2.018, 35.1
45.21, 2.006, 27.3

=====

Record 6
The following is a simulated PXRD pattern of Ho5Ru2. It was derived from a GGA-PBE-relaxed structure, using CuKα.
No peak broadening, texture or thermal motion is included.

Crystal structure
abc: 8.443 8.443 7.268
angles: 96.67 96.67 43.82
Atoms (fractional coordinates):
Ho 0.081 0.919 0.750
Ho 0.141 0.294 0.315
Ho 0.291 0.522 0.084
Ho 0.294 0.141 0.815
Ho 0.478 0.709 0.416
Ho 0.522 0.291 0.584
Ho 0.706 0.859 0.185
Ho 0.709 0.478 0.916
Ho 0.859 0.706 0.685
Ho 0.919 0.081 0.250
Ru 0.103 0.678 0.424
Ru 0.322 0.897 0.076
Ru 0.678 0.103 0.924
Ru 0.897 0.322 0.576

Most intense lines, 2θ = 10–80°, by angle:
two_theta, d_spacing, I (rel.)
28.50, 3.131, 62.1
30.97, 2.887, 83.1
31.72, 2.821, 87.8
32.11, 2.788, 100.0
33.65, 2.663, 44.7
35.81, 2.507, 46.0
37.89, 2.374, 45.7
39.88, 2.261, 49.6

=====

Record 7
The following is a simulated PXRD pattern of HoSi2Ru2. It was derived from a GGA-PBE-relaxed structure, using CuKα.
No peak broadening, texture or thermal motion is included.

Crystal structure
abc: 5.611 5.611 5.611
angles: 136.23 136.23 63.63
Atoms (fractional coordinates):
Ho 0.000 0.000 0.000
Si 0.369 0.369 0.000
Si 0.631 0.631 0.000
Ru 0.250 0.750 0.500
Ru 0.750 0.250 0.500

Most intense lines, 2θ = 10–80°, by angle:
two_theta, d_spacing, I (rel.)
23.22, 3.830, 33.4
35.47, 2.531, 33.1
35.73, 2.513, 100.0
43.26, 2.091, 39.7
57.14, 1.612, 16.6
58.73, 1.572, 17.4
66.83, 1.400, 17.4
74.44, 1.275, 23.0

=====

Record 8
The following is a simulated PXRD pattern of Ho3Si12Ru4. It was derived from a GGA-PBE-relaxed structure, using CuKα.
No peak broadening, texture or thermal motion is included.

Crystal structure
abc: 10.101 10.101 8.130
angles: 90.00 90.00 47.44
Atoms (fractional coordinates):
Ho 0.000 0.000 0.000
Ho 0.004 0.496 0.250
Ho 0.496 0.004 0.750
Ho 0.500 0.500 0.500
Ho 0.504 0.996 0.250
Ho 0.996 0.504 0.750
Si 0.111 0.123 0.729
Si 0.112 0.653 0.493
Si 0.123 0.111 0.271
Si 0.153 0.612 0.993
Si 0.167 0.833 0.667
Si 0.205 0.205 0.500
Si 0.295 0.295 0.000
Si 0.333 0.667 0.167
Si 0.347 0.888 0.493
Si 0.377 0.389 0.771
Si 0.388 0.847 0.993
Si 0.389 0.377 0.229
Si 0.611 0.623 0.771
Si 0.612 0.153 0.007
Si 0.623 0.611 0.229
Si 0.653 0.112 0.507
Si 0.667 0.333 0.833
Si 0.705 0.705 0.000
Si 0.795 0.795 0.500
Si 0.833 0.167 0.333
Si 0.847 0.388 0.007
Si 0.877 0.889 0.729
Si 0.888 0.347 0.507
Si 0.889 0.877 0.271
Ru 0.127 0.873 0.373
Ru 0.170 0.170 0.000
Ru 0.330 0.330 0.500
Ru 0.373 0.627 0.873
Ru 0.627 0.373 0.127
Ru 0.670 0.670 0.500
Ru 0.830 0.830 0.000
Ru 0.873 0.127 0.627

Most intense lines, 2θ = 10–80°, by angle:
two_theta, d_spacing, I (rel.)
19.20, 4.624, 58.1
23.92, 3.721, 56.8
31.12, 2.874, 51.5
35.25, 2.546, 81.3
36.59, 2.456, 100.0
36.82, 2.441, 94.2
49.47, 1.842, 36.8
59.00, 1.566, 58.8

=====

- What is the formula in the eighth record?
  Ho3Si12Ru4